No. 1
For Li2MnH6Pd, a crystal structure in Alexandria, relaxed with GGA-PBE gives the calculated powder diffractogram in this record (Cu Kα, 1.54184 Å).
Peak positions follow from Bragg's law for the DFT cell and can differ from measured ones.

Principal peaks in the range 15 to 90 degrees two-theta, sorted by position:
Position (°2θ), I/Imax
22.63, 300
22.74, 294
25.97, 1000
26.33, 968
26.45, 954
37.19, 456
37.35, 451
37.46, 892
37.60, 442
37.73, 438
46.43, 365
61.21, 244

Atomic structure:
Cell: 4.7685 4.7842 4.8014 Å, 119.40 119.75 90.27°
Positions (direct):
Li  0.0000  0.0000  0.0000
Li  0.4990  0.4943  0.9959
Mn  0.2583  0.7774  0.5196
H  0.0525  0.0629  0.6374
H  0.1309  0.6047  0.6880
H  0.4236  0.0629  0.4767
H  0.5473  0.5953  0.4643
H  0.5823  0.0597  0.0082
H  0.9247  0.5934  0.0477
Pd  0.7653  0.2984  0.5301



No. 2
For AcLaTh2Pt4, a crystal structure in Alexandria, relaxed with GGA-PBE gives the calculated powder diffractogram in this record (Cu Kα, 1.54184 Å).
Peak positions follow from Bragg's law for the DFT cell and can differ from measured ones.

Principal peaks in the range 15 to 90 degrees two-theta, sorted by position:
Position (°2θ), I/Imax
29.55, 509
29.77, 1000
42.44, 775
42.61, 384
52.70, 417
61.33, 66
61.83, 130
69.65, 182
70.00, 180
70.12, 180
77.54, 135
77.88, 270

Atomic structure:
Cell: 7.3872 7.3872 7.3872 Å, 132.06 132.06 70.13°
Positions (direct):
Ac  0.0000  0.0000  0.0000
La  0.5000  0.5000  0.0000
Th  0.2500  0.7500  0.5000
Th  0.7500  0.2500  0.5000
Pt  0.0000  0.5000  0.5000
Pt  0.2539  0.2539  0.0000
Pt  0.5000  0.0000  0.5000
Pt  0.7461  0.7461  0.0000



No. 3
For Ca6Fe7, a crystal structure in Alexandria, relaxed with GGA-PBE gives the calculated powder diffractogram in this record (Cu Kα, 1.54184 Å).
Peak positions follow from Bragg's law for the DFT cell and can differ from measured ones.

Principal peaks in the range 15 to 90 degrees two-theta, sorted by position:
Position (°2θ), I/Imax
19.43, 255
19.94, 172
32.29, 539
33.69, 231
37.20, 336
38.92, 181
39.19, 290
40.51, 472
41.25, 1000
41.35, 410
65.45, 296
70.84, 215

Atomic structure:
Cell: 11.9723 11.9723 11.9723 Å, 25.68 25.68 25.68°
Positions (direct):
Ca  0.0601  0.0601  0.0601
Ca  0.1528  0.1528  0.1528
Ca  0.3583  0.3583  0.3583
Ca  0.6417  0.6417  0.6417
Ca  0.8472  0.8472  0.8472
Ca  0.9399  0.9399  0.9399
Fe  0.1357  0.5909  0.5909
Fe  0.4091  0.4091  0.8643
Fe  0.4091  0.8643  0.4091
Fe  0.5000  0.5000  0.5000
Fe  0.5909  0.1357  0.5909
Fe  0.5909  0.5909  0.1357
Fe  0.8643  0.4091  0.4091



No. 4
For Cs2ScBr6, a crystal structure in Alexandria, relaxed with GGA-PBE gives the calculated powder diffractogram in this record (Cu Kα, 1.54184 Å).
Peak positions follow from Bragg's law for the DFT cell and can differ from measured ones.

Principal peaks in the range 15 to 90 degrees two-theta, sorted by position:
Position (°2θ), I/Imax
27.28, 356
27.70, 315
29.85, 1000
33.75, 279
44.20, 139
46.54, 281
50.35, 227
55.02, 263
56.28, 157
75.94, 127
76.73, 117
89.21, 87

Atomic structure:
Cell: 7.8054 7.8054 12.8827 Å, 90.00 90.00 120.00°
Positions (direct):
Cs  0.0000  0.0000  0.0000
Cs  0.0000  0.0000  0.5000
Cs  0.3333  0.6667  0.2568
Cs  0.6667  0.3333  0.7568
Sc  0.3333  0.6667  0.6316
Sc  0.6667  0.3333  0.1316
Br  0.0140  0.5070  0.5120
Br  0.1712  0.3424  0.7487
Br  0.1712  0.8288  0.7487
Br  0.3424  0.1712  0.2487
Br  0.4930  0.5070  0.5120
Br  0.4930  0.9860  0.5120
Br  0.5070  0.0140  0.0120
Br  0.5070  0.4930  0.0120
Br  0.6576  0.8288  0.7487
Br  0.8288  0.1712  0.2487
Br  0.8288  0.6576  0.2487
Br  0.9860  0.4930  0.0120



No. 5
For PaAlAu2O8, a crystal structure in Alexandria, relaxed with GGA-PBE gives the calculated powder diffractogram in this record (Cu Kα, 1.54184 Å).
Peak positions follow from Bragg's law for the DFT cell and can differ from measured ones.

Principal peaks in the range 15 to 90 degrees two-theta, sorted by position:
Position (°2θ), I/Imax
18.29, 231
18.46, 172
26.22, 1000
31.87, 959
32.16, 230
37.41, 279
49.94, 724
53.95, 154
60.00, 203
60.94, 163
64.04, 206
76.58, 163

Atomic structure:
Cell: 5.9229 5.9229 5.9229 Å, 109.95 109.95 108.51°
Positions (direct):
Pa  0.0000  0.0000  0.0000
Al  0.2500  0.7500  0.5000
Au  0.5000  0.5000  0.0000
Au  0.7500  0.2500  0.5000
O  0.2734  0.0756  0.8022
O  0.2734  0.4712  0.1978
O  0.3331  0.0048  0.3283
O  0.5288  0.7266  0.8022
O  0.6766  0.0048  0.6717
O  0.9244  0.7266  0.1978
O  0.9952  0.3234  0.3283
O  0.9952  0.6669  0.6717